No. 1
Simulated powder diffractogram of KBaPS4 for a wavelength of 1.5418 Å, from a cell relaxed with GGA-PBE.
Intensities are scaled so that the largest is 100.

Most intense lines, 10° ≤ 2θ ≤ 90°, most intense first:
2theta, I (rel.)
31.3, 100
32.9, 98
11.5, 98
28.3, 80
15.9, 80
23.5, 74
39.5, 68
26.3, 56

Cell: 12.3447 6.7791 9.8419 Å, 90.00 90.00 90.00°
Space group Pnma (No. 62)
Asymmetric unit:
K 0.1224 0.2500 0.1653 (multiplicity 4)
Ba 0.1410 0.2500 0.6200 (multiplicity 4)
P 0.1719 0.7500 0.3960 (multiplicity 4)
S 0.0780 0.7500 0.5693 (multiplicity 4)
S 0.0828 0.7500 0.2196 (multiplicity 4)
S 0.2299 0.0058 0.8945 (multiplicity 8)

---

No. 2
Simulated powder diffractogram of KBaPSe4 for a wavelength of 1.5418 Å, from a cell relaxed with GGA-PBE.
Intensities are scaled so that the largest is 100.

Most intense lines, 10° ≤ 2θ ≤ 90°, most intense first:
2theta, I (rel.)
31.4, 100
27.3, 83
11.1, 45
30.1, 44
37.9, 41
15.1, 41
29.6, 37
28.8, 25

Cell: 12.7262 7.1141 10.2863 Å, 90.00 90.00 90.00°
Space group Pnma (No. 62)
Asymmetric unit:
K 0.1301 0.2500 0.1661 (multiplicity 4)
Ba 0.1418 0.2500 0.6196 (multiplicity 4)
P 0.1730 0.7500 0.3956 (multiplicity 4)
Se 0.0757 0.7500 0.5762 (multiplicity 4)
Se 0.0803 0.7500 0.2125 (multiplicity 4)
Se 0.2234 0.5015 0.8940 (multiplicity 8)

---

No. 3
Simulated powder diffractogram of K5BaTaP4 for a wavelength of 1.5418 Å, from a cell relaxed with GGA-PBE.
Intensities are scaled so that the largest is 100.

Most intense lines, 10° ≤ 2θ ≤ 90°, most intense first:
2theta, I (rel.)
28.8, 100
14.8, 82
35.1, 77
10.0, 74
14.9, 41
29.3, 40
17.4, 38
35.3, 34

Cell: 10.1830 17.7448 7.9965 Å, 90.00 91.61 90.00°
Space group Cc (No. 9)
Asymmetric unit:
K 0.0000 0.0306 0.0000 (multiplicity 4)
K 0.0075 0.3614 0.3272 (multiplicity 4)
K 0.2282 0.4299 0.7979 (multiplicity 4)
K 0.2889 0.0694 0.3428 (multiplicity 4)
K 0.2979 0.2663 0.5008 (multiplicity 4)
Ba 0.2014 0.2340 0.0088 (multiplicity 4)
Ta 0.0047 0.1673 0.6082 (multiplicity 4)
P 0.0010 0.2966 0.7108 (multiplicity 4)
P 0.0104 0.1718 0.3065 (multiplicity 4)
P 0.1980 0.1046 0.7216 (multiplicity 4)
P 0.3047 0.3954 0.1888 (multiplicity 4)

---

No. 4
Simulated powder diffractogram of KBaPaS4 for a wavelength of 1.5418 Å, from a cell relaxed with GGA-PBE.
Intensities are scaled so that the largest is 100.

Most intense lines, 10° ≤ 2θ ≤ 90°, most intense first:
2theta, I (rel.)
23.8, 100
11.1, 46
41.9, 41
34.0, 32
17.7, 32
32.9, 24
48.7, 17
48.1, 16

Cell: 5.2725 5.2725 15.8843 Å, 90.00 90.00 90.00°
Space group I4mm (No. 107)
Asymmetric unit:
K 0.0000 0.0000 0.0000 (multiplicity 2)
Ba 0.0000 0.0000 0.7155 (multiplicity 2)
Pa 0.0000 0.0000 0.3591 (multiplicity 2)
S 0.0000 0.0000 0.1959 (multiplicity 2)
S 0.0000 0.0000 0.5197 (multiplicity 2)
S 0.0000 0.5000 0.3510 (multiplicity 4)

---

No. 5
Simulated powder diffractogram of KBaSnPb for a wavelength of 1.5418 Å, from a cell relaxed with GGA-PBE.
Intensities are scaled so that the largest is 100.

Most intense lines, 10° ≤ 2θ ≤ 90°, most intense first:
2theta, I (rel.)
26.4, 100
36.6, 48
33.3, 31
37.9, 27
38.6, 25
45.6, 23
59.8, 23
24.5, 20

Cell: 4.9145 4.9145 27.8436 Å, 90.00 90.00 120.00°
Space group R3m (No. 160, hexagonal axes)
Asymmetric unit:
K 0.0000 0.0000 0.0000 (multiplicity 3)
Ba 0.0000 0.0000 0.1889 (multiplicity 3)
Sn 0.0000 0.0000 0.7886 (multiplicity 3)
Pb 0.0000 0.0000 0.4112 (multiplicity 3)

---

No. 6
Simulated powder diffractogram of KBa2Pd2 for a wavelength of 1.5418 Å, from a cell relaxed with GGA-PBE.
Intensities are scaled so that the largest is 100.

Most intense lines, 10° ≤ 2θ ≤ 90°, most intense first:
2theta, I (rel.)
31.3, 100
36.4, 58
28.4, 51
27.3, 49
38.9, 27
48.2, 24
41.1, 23
27.5, 22

Cell: 4.6284 4.3953 10.0071 Å, 90.00 103.20 90.00°
Space group P2/m (No. 10)
Asymmetric unit:
K 0.0000 0.0000 0.0000 (multiplicity 1)
Ba 0.3367 0.5000 0.6751 (multiplicity 2)
Pd 0.2097 0.0000 0.4186 (multiplicity 2)

---

No. 7
Simulated powder diffractogram of KBa6Pt for a wavelength of 1.5418 Å, from a cell relaxed with GGA-PBE.
Intensities are scaled so that the largest is 100.

Most intense lines, 10° ≤ 2θ ≤ 90°, most intense first:
2theta, I (rel.)
25.4, 100
11.5, 57
25.3, 53
32.8, 38
39.3, 31
13.3, 28
23.7, 27
42.6, 24

Cell: 15.7430 7.9284 15.6560 Å, 90.00 101.56 90.00°
Space group C2/c (No. 15)
Asymmetric unit:
K 0.0000 0.0848 0.2500 (multiplicity 4)
Ba 0.0793 0.4130 0.8960 (multiplicity 8)
Ba 0.1467 0.0721 0.5354 (multiplicity 8)
Ba 0.2143 0.4147 0.1713 (multiplicity 8)
Pt 0.2500 0.2500 0.0000 (multiplicity 4)

---

No. 8
Simulated powder diffractogram of KBa6Pt3 for a wavelength of 1.5418 Å, from a cell relaxed with GGA-PBE.
Intensities are scaled so that the largest is 100.

Most intense lines, 10° ≤ 2θ ≤ 90°, most intense first:
2theta, I (rel.)
36.0, 100
24.3, 87
38.5, 62
29.4, 57
28.2, 57
12.0, 56
38.2, 48
34.7, 43

Cell: 13.6417 4.6757 15.1144 Å, 90.00 102.84 90.00°
Space group P2_1/m (No. 11)
Asymmetric unit:
K 0.0483 0.2500 0.1577 (multiplicity 2)
Ba 0.0664 0.7500 0.4103 (multiplicity 2)
Ba 0.2303 0.2500 0.9696 (multiplicity 2)
Ba 0.2336 0.7500 0.6779 (multiplicity 2)
Ba 0.3642 0.7500 0.2606 (multiplicity 2)
Ba 0.3784 0.2500 0.5154 (multiplicity 2)
Ba 0.4765 0.7500 0.8800 (multiplicity 2)
Pt 0.1517 0.2500 0.5449 (multiplicity 2)
Pt 0.3699 0.7500 0.0499 (multiplicity 2)
Pt 0.4836 0.7500 0.6513 (multiplicity 2)

---

No. 9
Simulated powder diffractogram of KBa8Pt4 for a wavelength of 1.5418 Å, from a cell relaxed with GGA-PBE.
Intensities are scaled so that the largest is 100.

Most intense lines, 10° ≤ 2θ ≤ 90°, most intense first:
2theta, I (rel.)
34.9, 100
39.7, 94
11.5, 92
24.7, 83
25.8, 78
10.4, 59
38.6, 53
30.6, 51

Cell: 22.6786 4.6604 15.4505 Å, 90.00 131.15 90.00°
Space group C2/m (No. 12)
Asymmetric unit:
K 0.0000 0.0000 0.0000 (multiplicity 2)
Ba 0.0393 0.0000 0.7334 (multiplicity 4)
Ba 0.1362 0.5000 0.5954 (multiplicity 4)
Ba 0.1668 0.5000 0.3494 (multiplicity 4)
Ba 0.2122 0.5000 0.0713 (multiplicity 4)
Pt 0.1478 0.0000 0.4675 (multiplicity 4)
Pt 0.1630 0.5000 0.8259 (multiplicity 4)

---

No. 10
Simulated powder diffractogram of K2Ba6Pt for a wavelength of 1.5418 Å, from a cell relaxed with GGA-PBE.
Intensities are scaled so that the largest is 100.

Most intense lines, 10° ≤ 2θ ≤ 90°, most intense first:
2theta, I (rel.)
27.5, 100
23.8, 79
39.3, 75
13.7, 62
11.8, 44
46.5, 36
30.8, 36
64.3, 34

Cell: 15.8747 9.1693 9.1689 Å, 90.00 125.27 90.00°
Space group C2/m (No. 12)
Asymmetric unit:
K 0.2500 0.0000 0.2497 (multiplicity 4)
Ba 0.9998 0.2419 0.2579 (multiplicity 8)
Ba 0.2420 0.0000 0.7414 (multiplicity 4)
Pt 0.0000 0.0000 0.5000 (multiplicity 2)

---

No. 11
Simulated powder diffractogram of K2Ba3Pt for a wavelength of 1.5418 Å, from a cell relaxed with GGA-PBE.
Intensities are scaled so that the largest is 100.

Most intense lines, 10° ≤ 2θ ≤ 90°, most intense first:
2theta, I (rel.)
10.5, 100
28.9, 45
25.2, 37
23.2, 33
37.1, 27
33.0, 17
16.1, 17
13.4, 16

Cell: 13.2555 10.9982 9.4196 Å, 90.00 90.00 90.00°
Space group Cmcm (No. 63)
Asymmetric unit:
K 0.1356 0.1979 0.2500 (multiplicity 8)
Ba 0.0000 0.2116 0.7500 (multiplicity 4)
Ba 0.1547 0.5000 0.0000 (multiplicity 8)
Pt 0.0000 0.4988 0.7500 (multiplicity 4)

---

No. 12
Simulated powder diffractogram of K2BaSb2Pt for a wavelength of 1.5418 Å, from a cell relaxed with GGA-PBE.
Intensities are scaled so that the largest is 100.

Most intense lines, 10° ≤ 2θ ≤ 90°, most intense first:
2theta, I (rel.)
18.7, 100
26.6, 79
40.6, 35
37.9, 30
42.6, 25
35.7, 24
30.1, 20
49.2, 20

Cell: 6.7070 6.7070 11.8718 Å, 90.00 90.00 90.00°
Space group I4/mmm (No. 139)
Asymmetric unit:
K 0.0000 0.5000 0.2500 (multiplicity 4)
Ba 0.0000 0.0000 0.0000 (multiplicity 2)
Sb 0.0000 0.0000 0.2893 (multiplicity 4)
Pt 0.0000 0.0000 0.5000 (multiplicity 2)

---

Number 10 is which compound? K2Ba6Pt